[1]
This entry pairs a crystal structure of Li4FeSi2O7 with its calculated powder diffractogram. Radiation: Cu Kα X-rays. Structure: a crystal structure in the Materials Project, relaxed with GGA+U.

```
data_Li4FeSi2O7
_symmetry_space_group_name_H-M 'P 1'
_symmetry_Int_Tables_number 1
_symmetry_space_group_name_Hall 'P 1'
_cell_length_a 5.322
_cell_length_b 5.322
_cell_length_c 6.858
_cell_angle_alpha 99.53
_cell_angle_beta 99.53
_cell_angle_gamma 50.69
loop_
_atom_site_label
_atom_site_type_symbol
_atom_site_fract_x
_atom_site_fract_y
_atom_site_fract_z
Li1 Li 0.149 0.149 0.437
Li2 Li 0.299 0.276 0.852
Li3 Li 0.724 0.701 0.148
Li4 Li 0.851 0.851 0.563
Fe1 Fe 0.017 0.983 0.000
Si1 Si 0.452 0.397 0.291
Si2 Si 0.603 0.548 0.709
O1 O 0.158 0.577 0.113
O2 O 0.336 0.664 0.500
O3 O 0.423 0.842 0.887
O4 O 0.519 0.072 0.343
O5 O 0.679 0.218 0.771
O6 O 0.782 0.321 0.229
O7 O 0.928 0.481 0.657
```

The 10 most intense peaks (10° ≤ 2θ ≤ 80°), sorted by position:
d = 6.742 Å, rel. 22; d = 4.728 Å, rel. 75; d = 3.637 Å, rel. 86; d = 3.576 Å, rel. 45; d = 2.713 Å, rel. 23; d = 2.552 Å, rel. 95; d = 2.509 Å, rel. 100; d = 1.579 Å, rel. 31; d = 1.549 Å, rel. 30; d = 1.540 Å, rel. 15

[2]
This entry pairs a crystal structure of K3Mo10O30 with its calculated powder diffractogram. Radiation: Cu Kα X-rays. Structure: a crystal structure in the Materials Project, relaxed with GGA+U.

```
data_K3Mo10O30
_symmetry_space_group_name_H-M 'P 1'
_symmetry_Int_Tables_number 1
_symmetry_space_group_name_Hall 'P 1'
_cell_length_a 10.253
_cell_length_b 10.253
_cell_length_c 10.232
_cell_angle_alpha 116.84
_cell_angle_beta 116.84
_cell_angle_gamma 44.09
loop_
_atom_site_label
_atom_site_type_symbol
_atom_site_fract_x
_atom_site_fract_y
_atom_site_fract_z
K1 K 0.000 0.000 0.000
K2 K 0.316 0.316 0.772
K3 K 0.684 0.684 0.228
Mo1 Mo 0.111 0.610 0.155
Mo2 Mo 0.167 0.677 0.541
Mo3 Mo 0.277 0.277 0.328
Mo4 Mo 0.323 0.833 0.459
Mo5 Mo 0.390 0.889 0.845
Mo6 Mo 0.610 0.111 0.155
Mo7 Mo 0.677 0.167 0.541
Mo8 Mo 0.723 0.723 0.672
Mo9 Mo 0.833 0.323 0.459
Mo10 Mo 0.889 0.390 0.845
O1 O 0.000 0.500 0.000
O2 O 0.073 0.558 0.339
O3 O 0.078 0.078 0.485
O4 O 0.142 0.142 0.830
O5 O 0.149 0.655 0.689
O6 O 0.184 0.184 0.167
O7 O 0.188 0.629 0.051
O8 O 0.214 0.706 0.354
O9 O 0.254 0.254 0.473
O10 O 0.294 0.786 0.646
O11 O 0.344 0.344 0.188
O12 O 0.345 0.851 0.311
O13 O 0.371 0.812 0.949
O14 O 0.412 0.412 0.506
O15 O 0.442 0.927 0.661
O16 O 0.500 0.000 0.000
O17 O 0.558 0.073 0.339
O18 O 0.588 0.588 0.494
O19 O 0.629 0.188 0.051
O20 O 0.655 0.149 0.689
O21 O 0.656 0.656 0.812
O22 O 0.706 0.214 0.354
O23 O 0.746 0.746 0.527
O24 O 0.786 0.294 0.646
O25 O 0.812 0.371 0.949
O26 O 0.816 0.816 0.833
O27 O 0.851 0.345 0.311
O28 O 0.858 0.858 0.170
O29 O 0.922 0.922 0.515
O30 O 0.927 0.442 0.661
```

The 10 most intense peaks (10° ≤ 2θ ≤ 80°), sorted by position:
d = 8.481 Å, rel. 100; d = 3.848 Å, rel. 23; d = 3.500 Å, rel. 64; d = 3.317 Å, rel. 41; d = 3.298 Å, rel. 48; d = 3.105 Å, rel. 25; d = 3.074 Å, rel. 28; d = 2.822 Å, rel. 29; d = 1.924 Å, rel. 24; d = 1.663 Å, rel. 22

[3]
This entry pairs a crystal structure of SrCoO3 with its calculated powder diffractogram. Radiation: Cu Kα X-rays. Structure: a crystal structure in the Materials Project, relaxed with GGA+U.

```
data_SrCoO3
_symmetry_space_group_name_H-M 'P 1'
_symmetry_Int_Tables_number 1
_symmetry_space_group_name_Hall 'P 1'
_cell_length_a 5.490
_cell_length_b 6.736
_cell_length_c 6.736
_cell_angle_alpha 70.94
_cell_angle_beta 90.00
_cell_angle_gamma 90.00
loop_
_atom_site_label
_atom_site_type_symbol
_atom_site_fract_x
_atom_site_fract_y
_atom_site_fract_z
Sr1 Sr 0.000 0.245 0.755
Sr2 Sr 0.000 0.755 0.245
Sr3 Sr 0.500 0.493 0.999
Sr4 Sr 0.500 0.999 0.493
Co1 Co 0.000 0.248 0.248
Co2 Co 0.000 0.754 0.754
Co3 Co 0.500 0.498 0.498
Co4 Co 0.500 0.997 0.997
O1 O 0.000 0.009 0.489
O2 O 0.000 0.489 0.009
O3 O 0.251 0.867 0.867
O4 O 0.254 0.118 0.118
O5 O 0.259 0.618 0.618
O6 O 0.263 0.380 0.380
O7 O 0.500 0.226 0.759
O8 O 0.500 0.759 0.226
O9 O 0.737 0.380 0.380
O10 O 0.741 0.618 0.618
O11 O 0.746 0.118 0.118
O12 O 0.749 0.867 0.867
```

The 10 most intense peaks (10° ≤ 2θ ≤ 80°), sorted by position:
d = 2.754 Å, rel. 100; d = 2.744 Å, rel. 49; d = 2.246 Å, rel. 17; d = 1.954 Å, rel. 19; d = 1.940 Å, rel. 37; d = 1.592 Å, rel. 19; d = 1.586 Å, rel. 37; d = 1.377 Å, rel. 21; d = 1.372 Å, rel. 11; d = 1.228 Å, rel. 16

[4]
This entry pairs a crystal structure of MgTi3Fe2CoP6O24 with its calculated powder diffractogram. Radiation: Cu Kα X-rays. Structure: a crystal structure in the Materials Project, relaxed with GGA+U.

```
data_MgTi3Fe2CoP6O24
_symmetry_space_group_name_H-M 'P 1'
_symmetry_Int_Tables_number 1
_symmetry_space_group_name_Hall 'P 1'
_cell_length_a 8.704
_cell_length_b 8.712
_cell_length_c 8.720
_cell_angle_alpha 60.28
_cell_angle_beta 60.30
_cell_angle_gamma 60.41
loop_
_atom_site_label
_atom_site_type_symbol
_atom_site_fract_x
_atom_site_fract_y
_atom_site_fract_z
Mg1 Mg 0.000 0.000 0.000
Ti1 Ti 0.119 0.123 0.123
Ti2 Ti 0.395 0.397 0.399
Ti3 Ti 0.877 0.880 0.880
Fe1 Fe 0.254 0.253 0.252
Fe2 Fe 0.741 0.744 0.748
Co1 Co 0.606 0.609 0.608
P1 P 0.004 0.298 0.702
P2 P 0.211 0.789 0.506
P3 P 0.298 0.703 0.006
P4 P 0.503 0.214 0.791
P5 P 0.702 0.005 0.299
P6 P 0.787 0.506 0.214
O1 O 0.007 0.802 0.655
O2 O 0.070 0.237 0.868
O3 O 0.132 0.754 0.947
O4 O 0.168 0.309 0.511
O5 O 0.194 0.986 0.347
O6 O 0.236 0.868 0.073
O7 O 0.260 0.635 0.432
O8 O 0.310 0.512 0.169
O9 O 0.343 0.198 0.989
O10 O 0.351 0.751 0.583
O11 O 0.428 0.264 0.637
O12 O 0.488 0.695 0.851
O13 O 0.511 0.168 0.311
O14 O 0.581 0.354 0.751
O15 O 0.632 0.431 0.264
O16 O 0.650 0.011 0.807
O17 O 0.693 0.848 0.487
O18 O 0.749 0.581 0.354
O19 O 0.753 0.948 0.131
O20 O 0.799 0.655 0.012
O21 O 0.849 0.487 0.691
O22 O 0.868 0.071 0.237
O23 O 0.946 0.130 0.753
O24 O 0.984 0.347 0.194
```

The 10 most intense peaks (10° ≤ 2θ ≤ 80°), sorted by position:
d = 4.378 Å, rel. 86; d = 3.726 Å, rel. 100; d = 3.572 Å, rel. 16; d = 2.840 Å, rel. 15; d = 2.756 Å, rel. 39; d = 2.527 Å, rel. 37; d = 2.178 Å, rel. 12; d = 1.951 Å, rel. 26; d = 1.947 Å, rel. 13; d = 1.655 Å, rel. 24